Structure and simulated XRD peak list of HgH6Br2N2 (the GGA-PBE geometry in Alexandria; a wavelength of 1.5418 Å).

Main lines, by angle (2θ from 10° to 90°):
- hkl 1 0 1, 2θ = 19.47°, intensity 37
- hkl 1 0 4, 2θ = 23.67°, intensity 100
- hkl 0 1 5, 2θ = 25.89°, intensity 45
- hkl 1 1 0, 2θ = 33.50°, intensity 46
- hkl 0 1 8, 2θ = 33.95°, intensity 24
- hkl 1 1 9, 2θ = 46.51°, intensity 29

```
data_HgH6Br2N2
_space_group_name_H-M_alt 'R -3 m'
_space_group_IT_number 166
_space_group_name_Hall '-R 3 2"'
_cell_length_a 5.3497
_cell_length_b 5.3497
_cell_length_c 25.7062
_cell_angle_alpha 90.00
_cell_angle_beta 90.00
_cell_angle_gamma 120.00
loop_
_atom_site_label
_atom_site_fract_x
_atom_site_fract_y
_atom_site_fract_z
_atom_site_occupancy
Hg1 0.0000 0.0000 0.0000 1
H1 0.1094 0.2187 0.4586 1
Br1 0.0000 0.0000 0.2299 1
N1 0.0000 0.0000 0.4720 1
```

---

Structure and simulated XRD peak list of HgH16Br6N4 (the GGA-PBE geometry in Alexandria; a wavelength of 1.5418 Å).

Main lines, by angle (2θ from 10° to 90°):
- hkl 1 1 0, 2θ = 13.48°, intensity 100
- hkl 0 2 0, 2θ = 19.15°, intensity 20
- hkl 1 2 2, 2θ = 28.81°, intensity 30
- hkl 1 0 3, 2θ = 30.30°, intensity 29
- hkl 3 1 0, 2θ = 30.50°, intensity 66
- hkl 3 1 4, 2θ = 49.98°, intensity 25

```
data_HgH16Br6N4
_space_group_name_H-M_alt 'P n n m'
_space_group_IT_number 58
_cell_length_a 9.2630
_cell_length_b 9.2719
_cell_length_c 9.3354
_cell_angle_alpha 90.00
_cell_angle_beta 90.00
_cell_angle_gamma 90.00
loop_
_space_group_symop_operation_xyz
'x,y,z'
'-x,-y,-z'
'-x,-y,z'
'x,y,-z'
'x+1/2,-y+1/2,-z+1/2'
'-x+1/2,y+1/2,z+1/2'
'-x+1/2,y+1/2,-z+1/2'
'x+1/2,-y+1/2,z+1/2'
loop_
_atom_site_label
_atom_site_fract_x
_atom_site_fract_y
_atom_site_fract_z
_atom_site_occupancy
Hg1 0.0000 0.0000 0.0000 1
H1 0.0815 0.3511 0.1702 1
H2 0.1491 0.4194 0.3296 1
H3 0.1509 0.2393 0.2936 1
H4 0.2380 0.8526 0.2943 1
Br1 0.0000 0.0000 0.2924 1
Br2 0.0994 0.6897 0.0000 1
Br3 0.1898 0.5998 0.5000 1
N1 0.1603 0.3411 0.2497 1
```

---

Structure and simulated XRD peak list of Hg2HBrO2 (the GGA-PBE geometry in Alexandria; a wavelength of 1.5418 Å).

Main lines, by angle (2θ from 10° to 90°):
- hkl 2 0 0, 2θ = 20.16°, intensity 60
- hkl 0 0 2, 2θ = 22.17°, intensity 69
- hkl 0 2 1, 2θ = 27.32°, intensity 39
- hkl 2 0 2, 2θ = 30.14°, intensity 100
- hkl 2 2 0, 2θ = 32.26°, intensity 40
- hkl 2 2 1, 2θ = 34.19°, intensity 68

```
data_Hg2HBrO2
_space_group_name_H-M_alt 'C m c 21'
_space_group_IT_number 36
_cell_length_a 8.8086
_cell_length_b 7.1479
_cell_length_c 8.0194
_cell_angle_alpha 90.00
_cell_angle_beta 90.00
_cell_angle_gamma 90.00
loop_
_space_group_symop_operation_xyz
'x,y,z'
'-x,-y,z+1/2'
'-x,y,z'
'x,-y,z+1/2'
'x+1/2,y+1/2,z'
'-x+1/2,-y+1/2,z+1/2'
'-x+1/2,y+1/2,z'
'x+1/2,-y+1/2,z+1/2'
loop_
_atom_site_label
_atom_site_fract_x
_atom_site_fract_y
_atom_site_fract_z
_atom_site_occupancy
Hg1 0.2440 0.1824 0.0000 1
H1 0.0000 0.4383 0.9909 1
Br1 0.0000 0.0571 0.6934 1
O1 0.1360 0.4366 0.9892 1
```

---

Structure and simulated XRD peak list of HgHBrO (the GGA-PBE geometry in Alexandria; a wavelength of 1.5418 Å).

Main lines, by angle (2θ from 10° to 90°):
- hkl 0 0 1, 2θ = 14.89°, intensity 100
- hkl 0 1 0, 2θ = 24.57°, intensity 52
- hkl 1 0 0, 2θ = 25.14°, intensity 53
- hkl 0 1 -1, 2θ = 31.02°, intensity 40
- hkl 1 0 -1, 2θ = 31.81°, intensity 35
- hkl 1 1 2, 2θ = 34.16°, intensity 31

```
data_HgHBrO
_space_group_name_H-M_alt 'P 1'
_space_group_IT_number 1
_cell_length_a 3.9397
_cell_length_b 4.0122
_cell_length_c 6.2846
_cell_angle_alpha 74.84
_cell_angle_beta 73.96
_cell_angle_gamma 66.44
loop_
_space_group_symop_operation_xyz
'x,y,z'
loop_
_atom_site_label
_atom_site_fract_x
_atom_site_fract_y
_atom_site_fract_z
_atom_site_occupancy
Hg1 0.0000 0.0000 0.0000 1
H1 0.8348 0.8650 0.6685 1
Br1 0.1575 0.1880 0.3026 1
O1 0.7609 0.7842 0.8305 1
```

---

Structure and simulated XRD peak list of H2I2Br (the GGA-PBE geometry in Alexandria; a wavelength of 1.5418 Å).

Main lines, by angle (2θ from 10° to 90°):
- hkl 0 1 2, 2θ = 22.00°, intensity 100
- hkl 1 -1 0, 2θ = 22.80°, intensity 58
- hkl 1 2 1, 2θ = 24.31°, intensity 85
- hkl 1 1 -1, 2θ = 24.56°, intensity 84
- hkl 1 0 2, 2θ = 25.30°, intensity 35
- hkl 2 1 1, 2θ = 28.46°, intensity 28

```
data_H2I2Br
_space_group_name_H-M_alt 'P -1'
_space_group_IT_number 2
_cell_length_a 6.2991
_cell_length_b 7.5890
_cell_length_c 8.6935
_cell_angle_alpha 65.29
_cell_angle_beta 73.23
_cell_angle_gamma 69.56
loop_
_space_group_symop_operation_xyz
'x,y,z'
'-x,-y,-z'
loop_
_atom_site_label
_atom_site_fract_x
_atom_site_fract_y
_atom_site_fract_z
_atom_site_occupancy
H1 0.0039 0.0737 0.2237 1
H2 0.4767 0.1487 0.1825 1
I1 0.1485 0.0964 0.6715 1
I2 0.2817 0.2902 0.0567 1
Br1 0.3172 0.6082 0.4576 1
```

---

Structure and simulated XRD peak list of Rb4HI2Br (the GGA-PBE geometry in Alexandria; a wavelength of 1.5418 Å).

Main lines, by angle (2θ from 10° to 90°):
- hkl 1 3 0, 2θ = 20.83°, intensity 15
- hkl 0 0 2, 2θ = 25.17°, intensity 100
- hkl 4 0 -4, 2θ = 35.92°, intensity 63
- hkl 4 4 0, 2θ = 44.26°, intensity 13
- hkl 4 4 -4, 2θ = 44.43°, intensity 14
- hkl 4 0 -6, 2θ = 58.40°, intensity 16

```
data_Rb4HI2Br
_space_group_name_H-M_alt 'C 1 2/c 1'
_space_group_IT_number 15
_cell_length_a 14.1599
_cell_length_b 14.1237
_cell_length_c 9.9903
_cell_angle_alpha 90.00
_cell_angle_beta 134.82
_cell_angle_gamma 90.00
loop_
_space_group_symop_operation_xyz
'x,y,z'
'-x,-y,-z'
'-x,y,-z+1/2'
'x,-y,z+1/2'
'x+1/2,y+1/2,z'
'-x+1/2,-y+1/2,-z'
'-x+1/2,y+1/2,-z+1/2'
'x+1/2,-y+1/2,z+1/2'
loop_
_atom_site_label
_atom_site_fract_x
_atom_site_fract_y
_atom_site_fract_z
_atom_site_occupancy
Rb1 0.0000 0.2343 0.0109 1
Rb2 0.2259 0.0053 0.4766 1
H1 0.0000 0.0000 0.0000 1
I1 0.0000 0.5000 0.0000 1
I2 0.2500 0.2500 0.0000 1
Br1 0.2500 0.2500 0.5000 1
```

---

Structure and simulated XRD peak list of Rb6H2I3Br (the GGA-PBE geometry in Alexandria; a wavelength of 1.5418 Å).

Main lines, by angle (2θ from 10° to 90°):
- hkl 1 3 0, 2θ = 21.21°, intensity 18
- hkl 2 0 -2, 2θ = 25.51°, intensity 100
- hkl 2 0 1, 2θ = 27.79°, intensity 19
- hkl 1 3 -3, 2θ = 36.17°, intensity 35
- hkl 3 3 -1, 2θ = 36.61°, intensity 39
- hkl 4 0 0, 2θ = 45.15°, intensity 20

```
data_Rb6H2I3Br
_space_group_name_H-M_alt 'C 1 2/m 1'
_space_group_IT_number 12
_cell_length_a 8.5113
_cell_length_b 14.7142
_cell_length_c 8.6432
_cell_angle_alpha 90.00
_cell_angle_beta 109.25
_cell_angle_gamma 90.00
loop_
_space_group_symop_operation_xyz
'x,y,z'
'-x,-y,-z'
'-x,y,-z'
'x,-y,z'
'x+1/2,y+1/2,z'
'-x+1/2,-y+1/2,-z'
'-x+1/2,y+1/2,-z'
'x+1/2,-y+1/2,z'
loop_
_atom_site_label
_atom_site_fract_x
_atom_site_fract_y
_atom_site_fract_z
_atom_site_occupancy
Rb1 0.2202 0.0000 0.2128 1
Rb2 0.2474 0.3244 0.2176 1
H1 0.0000 0.1672 0.0000 1
I1 0.0000 0.0000 0.5000 1
I2 0.0000 0.3391 0.5000 1
Br1 0.0000 0.5000 0.0000 1
```

---

Structure and simulated XRD peak list of In2H4Br3 (the GGA-PBE geometry in Alexandria; a wavelength of 1.5418 Å).

Main lines, by angle (2θ from 10° to 90°):
- hkl 2 0 0, 2θ = 15.90°, intensity 63
- hkl 2 0 -1, 2θ = 17.62°, intensity 100
- hkl 1 1 -1, 2θ = 20.92°, intensity 59
- hkl 0 2 0, 2θ = 32.47°, intensity 50
- hkl 2 0 2, 2θ = 34.58°, intensity 59
- hkl 5 1 -1, 2θ = 42.33°, intensity 43

```
data_In2H4Br3
_space_group_name_H-M_alt 'C 1 2/m 1'
_space_group_IT_number 12
_cell_length_a 11.5897
_cell_length_b 5.5148
_cell_length_c 7.0424
_cell_angle_alpha 90.00
_cell_angle_beta 105.91
_cell_angle_gamma 90.00
loop_
_space_group_symop_operation_xyz
'x,y,z'
'-x,-y,-z'
'-x,y,-z'
'x,-y,z'
'x+1/2,y+1/2,z'
'-x+1/2,-y+1/2,-z'
'-x+1/2,y+1/2,-z'
'x+1/2,-y+1/2,z'
loop_
_atom_site_label
_atom_site_fract_x
_atom_site_fract_y
_atom_site_fract_z
_atom_site_occupancy
In1 0.2249 0.0000 0.2580 1
H1 0.0087 0.0000 0.5557 1
H2 0.1532 0.5000 0.8437 1
Br1 0.0000 0.0000 0.0000 1
Br2 0.1722 0.5000 0.3272 1
```

---

Structure and simulated XRD peak list of In4H3Br4 (the GGA-PBE geometry in Alexandria; a wavelength of 1.5418 Å).

Main lines, by angle (2θ from 10° to 90°):
- hkl 1 1 0, 2θ = 23.88°, intensity 85
- hkl 0 0 4, 2θ = 28.96°, intensity 100
- hkl 3 1 0, 2θ = 31.60°, intensity 39
- hkl 1 1 -4, 2θ = 37.74°, intensity 29
- hkl 1 1 4, 2θ = 37.94°, intensity 21
- hkl 0 2 4, 2θ = 55.67°, intensity 30

```
data_In4H3Br4
_space_group_name_H-M_alt 'C 1 m 1'
_space_group_IT_number 8
_cell_length_a 12.3145
_cell_length_b 3.9100
_cell_length_c 12.3526
_cell_angle_alpha 90.00
_cell_angle_beta 90.99
_cell_angle_gamma 90.00
loop_
_space_group_symop_operation_xyz
'x,y,z'
'x,-y,z'
'x+1/2,y+1/2,z'
'x+1/2,-y+1/2,z'
loop_
_atom_site_label
_atom_site_fract_x
_atom_site_fract_y
_atom_site_fract_z
_atom_site_occupancy
In1 0.0000 0.0000 0.0000 1
In2 0.0049 0.0000 0.5065 1
In3 0.2396 0.0000 0.7568 1
In4 0.2718 0.0000 0.2555 1
H1 0.2520 0.5000 0.7606 1
H2 0.4918 0.0000 0.0006 1
H3 0.4974 0.0000 0.5007 1
Br1 0.0076 0.0000 0.7510 1
Br2 0.2334 0.0000 0.0032 1
Br3 0.2393 0.0000 0.5172 1
Br4 0.4667 0.5000 0.2497 1
```

---

Structure and simulated XRD peak list of In3H4Br (the GGA-PBE geometry in Alexandria; a wavelength of 1.5418 Å).

Main lines, by angle (2θ from 10° to 90°):
- hkl 1 -1 1, 2θ = 24.20°, intensity 100
- hkl -1 1 1, 2θ = 24.75°, intensity 91
- hkl 1 1 0, 2θ = 33.18°, intensity 76
- hkl 0 0 2, 2θ = 33.71°, intensity 74
- hkl 0 2 -1, 2θ = 34.82°, intensity 41
- hkl 1 1 -2, 2θ = 35.97°, intensity 66

```
data_In3H4Br
_space_group_name_H-M_alt 'P -1'
_space_group_IT_number 2
_cell_length_a 5.7577
_cell_length_b 5.8631
_cell_length_c 5.8752
_cell_angle_alpha 103.93
_cell_angle_beta 101.25
_cell_angle_gamma 118.23
loop_
_space_group_symop_operation_xyz
'x,y,z'
'-x,-y,-z'
loop_
_atom_site_label
_atom_site_fract_x
_atom_site_fract_y
_atom_site_fract_z
_atom_site_occupancy
In1 0.0000 0.0000 0.0000 1
In2 0.3289 0.6749 0.4975 1
H1 0.1772 0.8274 0.9924 1
H2 0.2597 0.2615 0.3842 1
Br1 0.5000 0.5000 0.0000 1
```

---

Structure and simulated XRD peak list of InH3Br3 (the GGA-PBE geometry in Alexandria; a wavelength of 1.5418 Å).

Main lines, by angle (2θ from 10° to 90°):
- hkl 0 1 0, 2θ = 10.97°, intensity 39
- hkl 1 1 -1, 2θ = 20.76°, intensity 56
- hkl 1 -2 0, 2θ = 24.29°, intensity 49
- hkl 0 1 2, 2θ = 25.46°, intensity 100
- hkl 1 -1 2, 2θ = 27.18°, intensity 85
- hkl 0 2 -3, 2θ = 28.67°, intensity 51

```
data_InH3Br3
_space_group_name_H-M_alt 'P -1'
_space_group_IT_number 2
_cell_length_a 5.4371
_cell_length_b 8.8622
_cell_length_c 10.4224
_cell_angle_alpha 109.40
_cell_angle_beta 103.75
_cell_angle_gamma 99.24
loop_
_space_group_symop_operation_xyz
'x,y,z'
'-x,-y,-z'
loop_
_atom_site_label
_atom_site_fract_x
_atom_site_fract_y
_atom_site_fract_z
_atom_site_occupancy
In1 0.2372 0.0253 0.4540 1
H1 0.0897 0.2901 0.8569 1
H2 0.4214 0.2232 0.0975 1
H3 0.4781 0.1824 0.3695 1
Br1 0.0837 0.6521 0.2399 1
Br2 0.3363 0.1485 0.9368 1
Br3 0.4089 0.6728 0.6751 1
```

---

Structure and simulated XRD peak list of InH4Br3N (the GGA-PBE geometry in Alexandria; a wavelength of 1.5418 Å).

Main lines, by angle (2θ from 10° to 90°):
- hkl 0 1 0, 2θ = 11.05°, intensity 22
- hkl 1 0 -1, 2θ = 13.01°, intensity 100
- hkl 0 0 2, 2θ = 13.14°, intensity 47
- hkl 2 1 2, 2θ = 29.32°, intensity 17
- hkl -1 2 3, 2θ = 33.46°, intensity 18
- hkl 3 0 -5, 2θ = 48.19°, intensity 20

```
data_InH4Br3N
_space_group_name_H-M_alt 'P 1'
_space_group_IT_number 1
_cell_length_a 7.8852
_cell_length_b 8.0643
_cell_length_c 13.5697
_cell_angle_alpha 96.64
_cell_angle_beta 90.27
_cell_angle_gamma 90.92
loop_
_space_group_symop_operation_xyz
'x,y,z'
loop_
_atom_site_label
_atom_site_fract_x
_atom_site_fract_y
_atom_site_fract_z
_atom_site_occupancy
In1 0.0000 0.0000 0.0000 1
In2 0.0002 0.4853 0.9870 1
In3 0.4822 0.8924 0.4883 1
In4 0.4839 0.3858 0.4944 1
H1 0.0356 0.7291 0.2552 1
H2 0.0530 0.6730 0.3723 1
H3 0.1148 0.0743 0.6519 1
H4 0.3680 0.7911 0.8324 1
H5 0.4316 0.1508 0.1181 1
H6 0.4433 0.0998 0.2369 1
H7 0.4933 0.6252 0.8307 1
H8 0.5487 0.7754 0.7611 1
H9 0.5506 0.9903 0.1428 1
H10 0.5649 0.8070 0.8885 1
H11 0.6182 0.1828 0.1829 1
H12 0.8565 0.6818 0.3184 1
H13 0.9206 0.0705 0.5931 1
H14 0.9323 0.0842 0.7202 1
H15 0.9837 0.9078 0.6496 1
H16 0.9914 0.5311 0.2756 1
Br1 0.0728 0.7759 0.8370 1
Br2 0.1848 0.8176 0.1154 1
Br3 0.2067 0.6950 0.5246 1
Br4 0.2785 0.1861 0.9667 1
Br5 0.2791 0.0715 0.3788 1
Br6 0.4125 0.1114 0.6525 1
Br7 0.5564 0.6666 0.3294 1
Br8 0.6821 0.7196 0.6071 1
Br9 0.7247 0.8029 0.0394 1
Br10 0.7553 0.0839 0.4467 1
Br11 0.7986 0.1580 0.8787 1
Br12 0.9218 0.2385 0.1600 1
N1 0.4938 0.7518 0.8282 1
N2 0.5099 0.1079 0.1714 1
N3 0.9843 0.6544 0.3057 1
N4 0.9879 0.0363 0.6537 1
```